Na2NiCl2F2: simulated PXRD pattern (Cu Kα, 1.54184 Å), based on the GGA+U geometry in Alexandria.
No peak broadening, texture or thermal motion is included.

Principal peaks in the range 10 to 90 degrees two-theta, in order of falling intensity:
h k l	2θ (°)	Rel. int.
3 1 -1	33.53	100
2 0 1	28.32	65
0 0 1	15.71	52
3 1 -2	38.71	51
2 0 -1	16.53	50
1 1 -2	37.98	33
5 1 0	50.26	30
0 2 0	50.41	22
2 0 0	16.90	19
1 1 3	59.77	17

Structure:
Cell lengths 12.021, 3.620, 6.462 Å; angles 90.00, 119.22, 90.00 degrees
Element x y z (fractional)
Na 0.211 0.000 0.176
Na 0.289 0.500 0.824
Na 0.711 0.500 0.176
Na 0.789 0.000 0.824
Ni 0.000 0.000 0.500
Ni 0.500 0.500 0.500
Cl 0.074 0.500 0.332
Cl 0.426 0.000 0.668
Cl 0.574 0.000 0.332
Cl 0.926 0.500 0.668
F 0.168 0.000 0.791
F 0.332 0.500 0.209
F 0.668 0.500 0.791
F 0.832 0.000 0.209